Record 1
Diffraction record for SrAgO3. The powder XRD pattern is theoretical, not measured: it uses a cell relaxed with GGA-PBE and CuKα.
Kinematic intensities with the Lorentz-polarization factor, no thermal factor.

Largest 10 diffraction maxima, in order of falling intensity, 2θ from 10° to 90°:
- 30.76°, d = 2.906 Å, intensity 100.0
- 54.70°, d = 1.678 Å, intensity 38.8
- 44.06°, d = 2.055 Å, intensity 33.0
- 89.14°, d = 1.099 Å, intensity 20.6
- 64.08°, d = 1.453 Å, intensity 19.6
- 72.76°, d = 1.300 Å, intensity 16.6
- 21.62°, d = 4.110 Å, intensity 6.6
- 81.04°, d = 1.187 Å, intensity 6.5
- 49.59°, d = 1.838 Å, intensity 2.2
- 68.48°, d = 1.370 Å, intensity 0.8

Atomic structure:
Unit cell a=4.1102 b=4.1102 c=4.1102 alpha=90.00 beta=90.00 gamma=90.00
Sites, in units of the cell vectors:
Sr1 0.0000 0.0000 0.0000
Ag1 0.5000 0.5000 0.5000
O1 0.0000 0.5000 0.5000
O2 0.5000 0.0000 0.5000
O3 0.5000 0.5000 0.0000


Record 2
Diffraction record for TaAgO3. The powder XRD pattern is theoretical, not measured: it uses a cell relaxed with GGA-PBE and CuKα.
Kinematic intensities with the Lorentz-polarization factor, no thermal factor.

Largest 10 diffraction maxima, in order of falling intensity, 2θ from 10° to 90°:
- 31.67°, d = 2.825 Å, intensity 100.0
- 32.11°, d = 2.788 Å, intensity 93.6
- 45.72°, d = 1.984 Å, intensity 51.2
- 56.96°, d = 1.617 Å, intensity 38.7
- 57.24°, d = 1.610 Å, intensity 20.4
- 22.40°, d = 3.969 Å, intensity 20.0
- 56.14°, d = 1.638 Å, intensity 19.8
- 75.45°, d = 1.260 Å, intensity 16.9
- 66.16°, d = 1.412 Å, intensity 16.1
- 76.15°, d = 1.250 Å, intensity 15.7

Atomic structure:
Unit cell a=5.6510 b=5.6510 c=5.6510 alpha=59.12 beta=59.12 gamma=59.12
Sites, in units of the cell vectors:
Ta1 0.0000 0.0000 0.0000
Ta2 0.5000 0.5000 0.5000
Ag1 0.2500 0.2500 0.2500
Ag2 0.7500 0.7500 0.7500
O1 0.1935 0.7500 0.3065
O2 0.2500 0.6935 0.8065
O3 0.3065 0.1935 0.7500
O4 0.6935 0.8065 0.2500
O5 0.7500 0.3065 0.1935
O6 0.8065 0.2500 0.6935


Record 3
Diffraction record for TaAgO3. The powder XRD pattern is theoretical, not measured: it uses a cell relaxed with GGA-PBE and CuKα.
Kinematic intensities with the Lorentz-polarization factor, no thermal factor.

Largest 10 diffraction maxima, in order of falling intensity, 2θ from 10° to 90°:
- 31.64°, d = 2.828 Å, intensity 100.0
- 56.35°, d = 1.633 Å, intensity 39.2
- 45.35°, d = 2.000 Å, intensity 27.8
- 66.08°, d = 1.414 Å, intensity 17.0
- 75.12°, d = 1.265 Å, intensity 16.9
- 22.23°, d = 3.999 Å, intensity 10.9
- 83.79°, d = 1.155 Å, intensity 5.8
- 51.07°, d = 1.789 Å, intensity 4.9
- 70.66°, d = 1.333 Å, intensity 2.4
- 88.06°, d = 1.109 Å, intensity 1.1

Atomic structure:
Unit cell a=3.9994 b=3.9994 c=3.9994 alpha=90.00 beta=90.00 gamma=90.00
Sites, in units of the cell vectors:
Ta1 0.0000 0.0000 0.0000
Ag1 0.5000 0.5000 0.5000
O1 0.0000 0.0000 0.5000
O2 0.0000 0.5000 0.0000
O3 0.5000 0.0000 0.0000


Record 4
Diffraction record for Ta3AgO8. The powder XRD pattern is theoretical, not measured: it uses a cell relaxed with GGA-PBE and CuKα.
Kinematic intensities with the Lorentz-polarization factor, no thermal factor.

Largest 10 diffraction maxima, in order of falling intensity, 2θ from 10° to 90°:
- 29.53°, d = 3.025 Å, intensity 100.0
- 30.53°, d = 2.928 Å, intensity 89.6
- 49.68°, d = 1.835 Å, intensity 51.1
- 35.33°, d = 2.541 Å, intensity 50.6
- 59.31°, d = 1.558 Å, intensity 30.7
- 33.77°, d = 2.654 Å, intensity 26.4
- 61.03°, d = 1.518 Å, intensity 25.3
- 52.10°, d = 1.755 Å, intensity 14.5
- 58.40°, d = 1.580 Å, intensity 13.6
- 57.82°, d = 1.595 Å, intensity 12.5

Atomic structure:
Unit cell a=7.3522 b=7.3522 c=7.3522 alpha=119.92 beta=87.56 gamma=122.95
Sites, in units of the cell vectors:
Ta1 0.2334 0.2394 0.4728
Ta2 0.2500 0.2500 0.0000
Ta3 0.2666 0.7394 0.0060
Ta4 0.7334 0.2606 0.9940
Ta5 0.7500 0.7500 0.0000
Ta6 0.7666 0.7606 0.5272
Ag1 0.2500 0.7500 0.5000
Ag2 0.7500 0.2500 0.5000
O1 0.0593 0.3945 0.0445
O2 0.0665 0.1186 0.1851
O3 0.1500 0.1055 0.6648
O4 0.1768 0.4923 0.6692
O5 0.3232 0.9923 0.3155
O6 0.3500 0.0148 0.9555
O7 0.4335 0.6186 0.0522
O8 0.4407 0.4852 0.3352
O9 0.5593 0.5148 0.6648
O10 0.5665 0.3814 0.9478
O11 0.6500 0.9852 0.0445
O12 0.6768 0.0077 0.6845
O13 0.8232 0.5077 0.3308
O14 0.8500 0.8945 0.3352
O15 0.9335 0.8814 0.8149
O16 0.9407 0.6055 0.9555


Record 5
Diffraction record for Ta3AgO8. The powder XRD pattern is theoretical, not measured: it uses a cell relaxed with GGA-PBE and CuKα.
Kinematic intensities with the Lorentz-polarization factor, no thermal factor.

Largest 10 diffraction maxima, in order of falling intensity, 2θ from 10° to 90°:
- 29.00°, d = 3.079 Å, intensity 100.0
- 23.44°, d = 3.795 Å, intensity 29.8
- 34.36°, d = 2.610 Å, intensity 23.6
- 34.06°, d = 2.632 Å, intensity 18.1
- 50.95°, d = 1.792 Å, intensity 15.5
- 61.17°, d = 1.515 Å, intensity 14.9
- 57.89°, d = 1.593 Å, intensity 14.4
- 51.25°, d = 1.783 Å, intensity 12.4
- 36.73°, d = 2.447 Å, intensity 12.0
- 51.09°, d = 1.788 Å, intensity 11.3

Atomic structure:
Unit cell a=7.7637 b=5.2646 c=15.8457 alpha=90.00 beta=106.98 gamma=90.00
Sites, in units of the cell vectors:
Ta1 0.9998 0.2351 0.1651
Ta2 0.9998 0.2649 0.6651
Ta3 0.0002 0.7351 0.3349
Ta4 0.0002 0.7649 0.8349
Ta5 0.2573 0.2381 0.4163
Ta6 0.2573 0.2619 0.9163
Ta7 0.4904 0.2410 0.1654
Ta8 0.4904 0.2590 0.6654
Ta9 0.5096 0.7410 0.3346
Ta10 0.5096 0.7590 0.8346
Ta11 0.7427 0.7381 0.0837
Ta12 0.7427 0.7619 0.5837
Ag1 0.2317 0.7406 0.0780
Ag2 0.2317 0.7594 0.5780
Ag3 0.7683 0.2406 0.4220
Ag4 0.7683 0.2594 0.9220
O1 0.0244 0.0431 0.4013
O2 0.0244 0.4569 0.9013
O3 0.0758 0.0958 0.7818
O4 0.0758 0.4042 0.2818
O5 0.1438 0.5423 0.4414
O6 0.1438 0.9577 0.9414
O7 0.2276 0.1476 0.1570
O8 0.2276 0.3524 0.6570
O9 0.2885 0.5906 0.8454
O10 0.2885 0.9094 0.3454
O11 0.3675 0.1477 0.5349
O12 0.3675 0.3523 0.0349
O13 0.4410 0.5575 0.2254
O14 0.4410 0.9425 0.7254
O15 0.4483 0.0753 0.8896
O16 0.4483 0.4247 0.3896
O17 0.5517 0.5753 0.6104
O18 0.5517 0.9247 0.1104
O19 0.5590 0.0575 0.2746
O20 0.5590 0.4425 0.7746
O21 0.6325 0.6477 0.9651
O22 0.6325 0.8523 0.4651
O23 0.7115 0.0906 0.6546
O24 0.7115 0.4094 0.1546
O25 0.7724 0.6476 0.3430
O26 0.7724 0.8524 0.8430
O27 0.8562 0.0423 0.0586
O28 0.8562 0.4577 0.5586
O29 0.9242 0.5958 0.7182
O30 0.9242 0.9042 0.2182
O31 0.9756 0.5431 0.0987
O32 0.9756 0.9569 0.5987


Record 6
Diffraction record for TbTa5Ag2O15. The powder XRD pattern is theoretical, not measured: it uses a cell relaxed with GGA-PBE and CuKα.
Kinematic intensities with the Lorentz-polarization factor, no thermal factor.

Largest 10 diffraction maxima, in order of falling intensity, 2θ from 10° to 90°:
- 32.01°, d = 2.796 Å, intensity 100.0
- 29.19°, d = 3.059 Å, intensity 73.2
- 27.71°, d = 3.219 Å, intensity 54.7
- 31.72°, d = 2.821 Å, intensity 44.6
- 56.69°, d = 1.624 Å, intensity 42.2
- 25.46°, d = 3.499 Å, intensity 40.4
- 34.36°, d = 2.610 Å, intensity 31.0
- 22.68°, d = 3.920 Å, intensity 29.6
- 46.32°, d = 1.960 Å, intensity 28.5
- 30.36°, d = 2.944 Å, intensity 24.1

Atomic structure:
Unit cell a=12.6140 b=12.6140 c=3.9200 alpha=90.00 beta=90.00 gamma=90.00
Sites, in units of the cell vectors:
Tb1 0.0000 0.0000 0.0000
Tb2 0.5000 0.5000 0.0000
Ta1 0.0000 0.5000 0.5000
Ta2 0.0786 0.2111 0.5000
Ta3 0.2111 0.9214 0.5000
Ta4 0.2889 0.4214 0.5000
Ta5 0.4214 0.7111 0.5000
Ta6 0.5000 0.0000 0.5000
Ta7 0.5786 0.2889 0.5000
Ta8 0.7111 0.5786 0.5000
Ta9 0.7889 0.0786 0.5000
Ta10 0.9214 0.7889 0.5000
Ag1 0.1716 0.6716 0.0000
Ag2 0.3284 0.1716 0.0000
Ag3 0.6716 0.8284 0.0000
Ag4 0.8284 0.3284 0.0000
O1 0.9995 0.3412 0.5000
O2 0.0000 0.5000 0.0000
O3 0.0005 0.6588 0.5000
O4 0.0570 0.8697 0.5000
O5 0.0798 0.1890 0.0000
O6 0.1303 0.0570 0.5000
O7 0.1588 0.5005 0.5000
O8 0.1890 0.9202 0.0000
O9 0.2241 0.2759 0.5000
O10 0.2759 0.7759 0.5000
O11 0.3110 0.4202 0.0000
O12 0.3412 0.0005 0.5000
O13 0.3697 0.5570 0.5000
O14 0.4202 0.6890 0.0000
O15 0.4430 0.3697 0.5000
O16 0.5000 0.0000 0.0000
O17 0.4995 0.1588 0.5000
O18 0.5005 0.8412 0.5000
O19 0.5570 0.6303 0.5000
O20 0.5798 0.3110 0.0000
O21 0.6303 0.4430 0.5000
O22 0.6588 0.9995 0.5000
O23 0.6890 0.5798 0.0000
O24 0.7241 0.2241 0.5000
O25 0.7759 0.7241 0.5000
O26 0.8110 0.0798 0.0000
O27 0.8412 0.4995 0.5000
O28 0.8697 0.9430 0.5000
O29 0.9202 0.8110 0.0000
O30 0.9430 0.1303 0.5000


Record 7
Diffraction record for TmTa5Ag2O15. The powder XRD pattern is theoretical, not measured: it uses a cell relaxed with GGA-PBE and CuKα.
Kinematic intensities with the Lorentz-polarization factor, no thermal factor.

Largest 10 diffraction maxima, in order of falling intensity, 2θ from 10° to 90°:
- 32.06°, d = 2.792 Å, intensity 100.0
- 29.25°, d = 3.054 Å, intensity 70.7
- 27.75°, d = 3.215 Å, intensity 52.0
- 31.79°, d = 2.815 Å, intensity 43.5
- 56.80°, d = 1.621 Å, intensity 42.1
- 25.51°, d = 3.492 Å, intensity 38.7
- 34.41°, d = 2.606 Å, intensity 30.1
- 46.38°, d = 1.958 Å, intensity 27.7
- 22.71°, d = 3.915 Å, intensity 27.5
- 30.40°, d = 2.940 Å, intensity 24.2

Atomic structure:
Unit cell a=12.5902 b=12.5902 c=3.9153 alpha=90.00 beta=90.00 gamma=90.00
Sites, in units of the cell vectors:
Tm1 0.0000 0.0000 0.0000
Tm2 0.5000 0.5000 0.0000
Ta1 0.0000 0.5000 0.5000
Ta2 0.0786 0.2104 0.5000
Ta3 0.2104 0.9214 0.5000
Ta4 0.2896 0.4214 0.5000
Ta5 0.4214 0.7104 0.5000
Ta6 0.5000 0.0000 0.5000
Ta7 0.5786 0.2896 0.5000
Ta8 0.7104 0.5786 0.5000
Ta9 0.7896 0.0786 0.5000
Ta10 0.9214 0.7896 0.5000
Ag1 0.1718 0.6718 0.0000
Ag2 0.3282 0.1718 0.0000
Ag3 0.6718 0.8282 0.0000
Ag4 0.8282 0.3282 0.0000
O1 0.0000 0.5000 0.0000
O2 0.0010 0.6592 0.5000
O3 0.0565 0.8706 0.5000
O4 0.0793 0.1867 0.0000
O5 0.1294 0.0565 0.5000
O6 0.1592 0.5010 0.5000
O7 0.1867 0.9207 0.0000
O8 0.2249 0.2751 0.5000
O9 0.2751 0.7751 0.5000
O10 0.3133 0.4207 0.0000
O11 0.3408 0.0010 0.5000
O12 0.3706 0.5565 0.5000
O13 0.4207 0.6867 0.0000
O14 0.4435 0.3706 0.5000
O15 0.4990 0.1592 0.5000
O16 0.5000 0.0000 0.0000
O17 0.5010 0.8408 0.5000
O18 0.5565 0.6294 0.5000
O19 0.5793 0.3133 0.0000
O20 0.6294 0.4435 0.5000
O21 0.6592 0.9990 0.5000
O22 0.6867 0.5793 0.0000
O23 0.7249 0.2249 0.5000
O24 0.7751 0.7249 0.5000
O25 0.8133 0.0793 0.0000
O26 0.8408 0.4990 0.5000
O27 0.8706 0.9435 0.5000
O28 0.9207 0.8133 0.0000
O29 0.9435 0.1294 0.5000
O30 0.9990 0.3408 0.5000